Diffraction record for InCoRu. The powder X-ray diffraction pattern is calculated, not measured: it uses the GGA-PBE geometry in Alexandria and Cu Kα, 1.54184 Å.

Atomic structure:
Cell lengths 6.906, 6.906, 4.681 Å; angles 90.00, 90.00, 156.45 degrees
Positions (direct):
In (0.078, 0.922, 0.500)
In (0.922, 0.078, 0.000)
Co (0.401, 0.599, 0.511)
Co (0.599, 0.401, 0.011)
Ru (0.244, 0.756, 0.851)
Ru (0.756, 0.244, 0.351)

Main lines, low angle first (10° ≤ 2θ ≤ 80°):
2theta  intensity
32.68  11
37.85  19
38.46  16
40.01  34
40.80  21
42.47  100
47.24  15
56.71  9
69.17  13
74.36  14